Cd3Mo: computed X-ray diffraction stick pattern (Cu Kα), based on a crystal structure in Alexandria, relaxed with PBE.
Peak positions follow from Bragg's law for the DFT cell and can differ from measured ones.

Main lines, by intensity (5 to 70 degrees two-theta):
d_spacing	I (rel.)
2.435	100
2.402	25
2.272	21
1.393	16
1.651	15
1.804	9
1.442	8
1.413	7
2.333	2
3.570	1
1.361	1
1.628	1

Cell: 4.544 9.609 7.215 Å, 90.00 90.00 90.00°
Fractional positions:
Cd 0.249 0.250 0.114
Cd 0.250 0.002 0.380
Cd 0.250 0.498 0.380
Cd 0.250 0.502 0.880
Cd 0.250 0.998 0.880
Cd 0.251 0.750 0.614
Cd 0.749 0.250 0.386
Cd 0.750 0.002 0.120
Cd 0.750 0.498 0.120
Cd 0.750 0.502 0.620
Cd 0.750 0.998 0.620
Cd 0.751 0.750 0.886
Mo 0.249 0.250 0.658
Mo 0.251 0.750 0.158
Mo 0.749 0.250 0.842
Mo 0.751 0.750 0.342